Zn5B3Rh7: simulated XRD peak list (Cu Ka), based on a GGA-PBE-relaxed structure.

The 6 most intense peaks (5° ≤ 2θ ≤ 70°), low angle first:
2θ (°)	I (rel.)
38.89	54
39.63	100
40.52	99
44.00	68
44.78	35
46.14	67

Cell and atoms:
```
data_Zn5B3Rh7
_symmetry_space_group_name_H-M 'P m m a'
_symmetry_Int_Tables_number 51
_cell_length_a 11.1309
_cell_length_b 2.8628
_cell_length_c 11.8414
_cell_angle_alpha 90.00
_cell_angle_beta 90.00
_cell_angle_gamma 90.00
loop_
_symmetry_equiv_pos_as_xyz
'x,y,z'
'-x,-y,-z'
'-x+1/2,-y,z'
'x+1/2,y,-z'
'x+1/2,-y,-z'
'-x+1/2,y,z'
'-x,y,-z'
'x,-y,z'
loop_
_atom_site_label
_atom_site_fract_x
_atom_site_fract_y
_atom_site_fract_z
Zn1 0.0489 0.0000 0.1337
Zn2 0.1308 0.0000 0.3491
Zn3 0.2500 0.0000 0.8087
B1 0.1167 0.0000 0.5937
B2 0.2500 0.0000 0.0403
Rh1 0.0000 0.5000 0.5000
Rh2 0.0768 0.5000 0.7206
Rh3 0.1263 0.5000 0.9625
Rh4 0.2500 0.5000 0.1820
Rh5 0.2500 0.5000 0.5280
```